No. 1
Diffraction record for Ca4Tm3Se8. The X-ray diffraction stick pattern is calculated, not measured: it uses a PBE-relaxed structure and Cu Ka.

Crystal structure
Cell lengths 8.8422, 8.8422, 8.8422 Å; angles 54.99, 54.99, 54.99 degrees
Fractional coordinates of all 15 atoms:
Ca  0.0000  0.0000  0.0000
Ca  0.1466  0.1466  0.1466
Ca  0.5000  0.5000  0.5000
Ca  0.8534  0.8534  0.8534
Tm  0.0000  0.5000  0.5000
Tm  0.5000  0.0000  0.5000
Tm  0.5000  0.5000  0.0000
Se  0.2481  0.2481  0.7344
Se  0.2481  0.7344  0.2481
Se  0.2656  0.7519  0.7519
Se  0.2682  0.2682  0.2682
Se  0.7318  0.7318  0.7318
Se  0.7344  0.2481  0.2481
Se  0.7519  0.2656  0.7519
Se  0.7519  0.7519  0.2656

Most intense lines, 10° ≤ 2θ ≤ 90°, by angle:
2θ (°)  I_rel
11.83  63
25.50  31
29.87  100
37.88  29
41.07  45
44.38  44
54.42  18
62.05  16
67.98  16
79.43  22


No. 2
Diffraction record for CaWSe2. The X-ray diffraction stick pattern is calculated, not measured: it uses a PBE-relaxed structure and Cu Ka.

Crystal structure
Cell lengths 4.0446, 4.0446, 18.1633 Å; angles 90.00, 90.00, 120.00 degrees
Fractional coordinates of all 12 atoms:
Ca  0.0000  0.0000  0.0000
Ca  0.3333  0.6667  0.6667
Ca  0.6667  0.3333  0.3333
W  0.0000  0.0000  0.5000
W  0.3333  0.6667  0.1667
W  0.6667  0.3333  0.8333
Se  0.0000  0.0000  0.2366
Se  0.0000  0.0000  0.7634
Se  0.3333  0.6667  0.4301
Se  0.3333  0.6667  0.9032
Se  0.6667  0.3333  0.0968
Se  0.6667  0.3333  0.5699

Most intense lines, 10° ≤ 2θ ≤ 90°, by angle:
2θ (°)  I_rel
14.63  49
25.91  19
32.28  100
43.40  17
44.82  42
47.40  16
47.74  29
56.30  20
74.68  17
79.03  12


No. 3
Diffraction record for Ca4ZrSe. The X-ray diffraction stick pattern is calculated, not measured: it uses a PBE-relaxed structure and Cu Ka.

Crystal structure
Cell lengths 6.5875, 6.5875, 6.5875 Å; angles 60.00, 60.00, 60.00 degrees
Fractional coordinates of all 6 atoms:
Ca  0.3756  0.3756  0.3756
Ca  0.3756  0.3756  0.8733
Ca  0.3756  0.8733  0.3756
Ca  0.8733  0.3756  0.3756
Zr  0.7500  0.7500  0.7500
Se  0.0000  0.0000  0.0000

Most intense lines, 10° ≤ 2θ ≤ 90°, by angle:
2θ (°)  I_rel
27.07  53
31.86  100
33.32  20
47.83  22
50.93  33
55.82  25
63.12  9
65.73  11
76.52  10
78.93  19


No. 4
Diffraction record for CaSi23. The X-ray diffraction stick pattern is calculated, not measured: it uses a PBE-relaxed structure and Cu Ka.

Crystal structure
Cell lengths 10.2313, 10.2313, 10.2313 Å; angles 90.00, 90.00, 90.00 degrees
Fractional coordinates of all 48 atoms:
Ca  0.0000  0.0000  0.0000
Ca  0.5000  0.5000  0.5000
Si  0.0000  0.1166  0.3084
Si  0.0000  0.1166  0.6916
Si  0.0000  0.2500  0.5000
Si  0.0000  0.7500  0.5000
Si  0.0000  0.8834  0.3084
Si  0.0000  0.8834  0.6916
Si  0.1166  0.3084  0.0000
Si  0.1166  0.6916  0.0000
Si  0.1834  0.1834  0.1834
Si  0.1834  0.1834  0.8166
Si  0.1834  0.8166  0.1834
Si  0.1834  0.8166  0.8166
Si  0.1916  0.3834  0.5000
Si  0.1916  0.6166  0.5000
Si  0.2500  0.5000  0.0000
Si  0.3084  0.0000  0.1166
Si  0.3084  0.0000  0.8834
Si  0.3166  0.3166  0.3166
Si  0.3166  0.3166  0.6834
Si  0.3166  0.6834  0.3166
Si  0.3166  0.6834  0.6834
Si  0.3834  0.5000  0.1916
Si  0.3834  0.5000  0.8084
Si  0.5000  0.0000  0.2500
Si  0.5000  0.0000  0.7500
Si  0.5000  0.1916  0.3834
Si  0.5000  0.1916  0.6166
Si  0.5000  0.8084  0.3834
Si  0.5000  0.8084  0.6166
Si  0.6166  0.5000  0.1916
Si  0.6166  0.5000  0.8084
Si  0.6834  0.3166  0.3166
Si  0.6834  0.3166  0.6834
Si  0.6834  0.6834  0.3166
Si  0.6834  0.6834  0.6834
Si  0.6916  0.0000  0.1166
Si  0.6916  0.0000  0.8834
Si  0.7500  0.5000  0.0000
Si  0.8084  0.3834  0.5000
Si  0.8084  0.6166  0.5000
Si  0.8166  0.1834  0.1834
Si  0.8166  0.1834  0.8166
Si  0.8166  0.8166  0.1834
Si  0.8166  0.8166  0.8166
Si  0.8834  0.3084  0.0000
Si  0.8834  0.6916  0.0000

Most intense lines, 10° ≤ 2θ ≤ 90°, by angle:
2θ (°)  I_rel
12.23  42
19.40  69
32.75  100
36.20  24
37.29  22
40.40  22
52.13  42
52.95  20
53.76  22
55.35  46


No. 5
Diffraction record for CaSi2. The X-ray diffraction stick pattern is calculated, not measured: it uses a PBE-relaxed structure and Cu Ka.

Crystal structure
Cell lengths 3.8367, 6.2069, 5.6836 Å; angles 90.00, 90.00, 90.00 degrees
Fractional coordinates of all 6 atoms:
Ca  0.2500  0.2500  0.1196
Ca  0.7500  0.7500  0.8804
Si  0.2500  0.0545  0.6157
Si  0.2500  0.4455  0.6157
Si  0.7500  0.5545  0.3843
Si  0.7500  0.9455  0.3843

Most intense lines, 10° ≤ 2θ ≤ 90°, by angle:
2θ (°)  I_rel
27.33  100
32.88  65
34.72  50
39.46  90
40.62  57
46.72  21
47.39  26
52.79  34
58.88  22
62.31  21


No. 6
Diffraction record for Ca3Si4. The X-ray diffraction stick pattern is calculated, not measured: it uses a PBE-relaxed structure and Cu Ka.

Crystal structure
Cell lengths 8.5459, 8.5459, 14.9008 Å; angles 90.00, 90.00, 120.00 degrees
Fractional coordinates of all 42 atoms:
Ca  0.0000  0.0000  0.0000
Ca  0.0000  0.0000  0.2500
Ca  0.0000  0.0000  0.5000
Ca  0.0000  0.0000  0.7500
Ca  0.0935  0.6718  0.0975
Ca  0.0935  0.6718  0.4025
Ca  0.3282  0.4217  0.0975
Ca  0.3282  0.4217  0.4025
Ca  0.3333  0.6667  0.7500
Ca  0.4217  0.0935  0.5975
Ca  0.4217  0.0935  0.9025
Ca  0.5783  0.9065  0.0975
Ca  0.5783  0.9065  0.4025
Ca  0.6667  0.3333  0.2500
Ca  0.6718  0.5783  0.5975
Ca  0.6718  0.5783  0.9025
Ca  0.9065  0.3282  0.5975
Ca  0.9065  0.3282  0.9025
Si  0.0560  0.3815  0.2500
Si  0.0909  0.7367  0.6098
Si  0.0909  0.7367  0.8902
Si  0.2633  0.3542  0.6098
Si  0.2633  0.3542  0.8902
Si  0.3254  0.9440  0.2500
Si  0.3333  0.6667  0.2500
Si  0.3333  0.6667  0.5570
Si  0.3333  0.6667  0.9430
Si  0.3542  0.0909  0.1098
Si  0.3542  0.0909  0.3902
Si  0.3815  0.3254  0.7500
Si  0.6185  0.6746  0.2500
Si  0.6458  0.9091  0.6098
Si  0.6458  0.9091  0.8902
Si  0.6667  0.3333  0.0570
Si  0.6667  0.3333  0.4430
Si  0.6667  0.3333  0.7500
Si  0.6746  0.0560  0.7500
Si  0.7367  0.6458  0.1098
Si  0.7367  0.6458  0.3902
Si  0.9091  0.2633  0.1098
Si  0.9091  0.2633  0.3902
Si  0.9440  0.6185  0.7500

Most intense lines, 10° ≤ 2θ ≤ 90°, by angle:
2θ (°)  I_rel
27.54  39
31.87  100
31.99  82
32.57  29
34.22  38
36.17  46
36.42  84
36.88  46
40.32  87
57.02  24